Diffraction record for In2GaPb. The XRD peak list is theoretical, not measured: it uses a crystal structure in Alexandria, relaxed with GGA-PBE and Cu Kα X-rays.
Intensities are scaled so that the largest is 100.

```
data_In2GaPb
_cell_length_a 3.2711
_cell_length_b 3.3303
_cell_length_c 9.7250
_cell_angle_alpha 90.16
_cell_angle_beta 90.14
_cell_angle_gamma 92.00
_space_group_name_H-M_alt 'P 1'
_space_group_IT_number 1
loop_
_space_group_symop_operation_xyz
'x,y,z'
loop_
_atom_site_label
_atom_site_type_symbol
_atom_site_fract_x
_atom_site_fract_y
_atom_site_fract_z
In1 In 0.0000 0.0000 0.0000
In2 In 0.0000 0.0035 0.4460
Ga1 Ga 0.5004 0.5009 0.2231
Pb1 Pb 0.5019 0.5014 0.7230
```

Principal peaks in the range 15 to 90 degrees two-theta, low angle first:
(0 0 3), 27.52°, 3.242 Å, I 19; (0 1 -1), 28.34°, 3.149 Å, I 17; (1 0 1), 28.81°, 3.099 Å, I 16; (0 1 2), 32.60°, 2.747 Å, I 100; (1 0 2), 33.02°, 2.713 Å, I 97; (0 0 4), 36.97°, 2.431 Å, I 30; (1 -1 0), 37.90°, 2.374 Å, I 35; (1 1 0), 39.30°, 2.293 Å, I 32; (-1 1 4), 53.98°, 1.699 Å, I 20; (1 1 -4), 54.92°, 1.672 Å, I 14; (0 2 0), 55.18°, 1.664 Å, I 21; (-1 2 2), 64.88°, 1.437 Å, I 14